(1)
# SeBr8
Simulated XRD peak list, Cu Kα. Input: a PBE-relaxed structure.
Kinematic intensities with the Lorentz-polarization factor, no thermal factor.

Top 12 peaks for 5° ≤ 2θ ≤ 70°, in order of rising 2θ:
2θ = 14.5°, 6.123 Å, I = 2.4; 2θ = 20.9°, 4.257 Å, I = 85.6; 2θ = 32.8°, 2.734 Å, I = 100.0; 2θ = 42.5°, 2.128 Å, I = 12.8; 2θ = 44.4°, 2.041 Å, I = 23.5; 2θ = 44.8°, 2.024 Å, I = 40.9; 2θ = 49.5°, 1.840 Å, I = 28.1; 2θ = 63.1°, 1.473 Å, I = 13.4; 2θ = 63.4°, 1.467 Å, I = 14.2; 2θ = 64.6°, 1.443 Å, I = 5.5; 2θ = 65.8°, 1.419 Å, I = 3.4; 2θ = 68.7°, 1.367 Å, I = 9.2

Atomic structure:
a b c (Å): 7.458 7.458 7.458
angles (deg): 109.02 109.02 110.38
Positions (direct):
Se (0.000, 0.000, 0.000)
Br (0.000, 0.304, 0.304)
Br (0.000, 0.696, 0.696)
Br (0.304, 0.000, 0.304)
Br (0.336, 0.336, 0.671)
Br (0.336, 0.664, 0.000)
Br (0.664, 0.336, 0.000)
Br (0.664, 0.664, 0.329)
Br (0.696, 0.000, 0.696)

***

(2)
# BaCdGaHg2
Simulated XRD peak list, Cu Kα. Input: a PBE-relaxed structure.
Kinematic intensities with the Lorentz-polarization factor, no thermal factor.

Top 12 peaks for 5° ≤ 2θ ≤ 70°, in order of rising 2θ:
2θ = 14.9°, 5.959 Å, I = 12.2; 2θ = 19.9°, 4.466 Å, I = 18.4; 2θ = 29.1°, 3.068 Å, I = 39.7; 2θ = 30.2°, 2.961 Å, I = 100.0; 2θ = 37.2°, 2.419 Å, I = 28.2; 2θ = 37.4°, 2.406 Å, I = 27.8; 2θ = 40.2°, 2.244 Å, I = 34.8; 2θ = 42.3°, 2.137 Å, I = 23.3; 2θ = 48.0°, 1.894 Å, I = 14.0; 2θ = 53.7°, 1.706 Å, I = 19.4; 2θ = 62.7°, 1.481 Å, I = 15.1; 2θ = 63.0°, 1.475 Å, I = 12.3

Atomic structure:
a b c (Å): 6.867 6.867 6.867
angles (deg): 138.98 138.75 59.58
Positions (direct):
Ba (0.000, 0.000, 0.000)
Cd (0.243, 0.743, 0.500)
Ga (0.622, 0.622, 0.000)
Hg (0.392, 0.392, 0.000)
Hg (0.739, 0.239, 0.500)